For HoGa5Pd2, a DFT-relaxed cell (PBE, Alexandria) gives the calculated powder XRD pattern in this record (λ = 1.5418 Å (Cu Kα)).
Peak positions follow from Bragg's law for the DFT cell and can differ from measured ones.

Top 10 peaks for 2θ from 15° to 90°, sorted by position:
2θ/deg	Rel. int.	hkl
23.91	26	0 2 0
31.49	76	1 1 2
34.41	100	1 2 1
35.60	91	1 0 3
43.12	30	1 3 0
44.07	79	0 2 4
46.17	45	2 0 0
47.07	39	1 3 2
62.53	29	0 4 4
65.73	47	2 2 4

a = 3.9325 Å, b = 7.4418 Å, c = 9.8606 Å
α = 90.00°, β = 90.00°, γ = 90.00°
Space group Immm (No. 71)
Inequivalent atoms, fractional coordinates:
Ho  0.0000  0.0000  0.0000
Ga  0.0000  0.1917  0.3586
Ga  0.0000  0.5000  0.0000
Pd  0.0000  0.5000  0.2554